Record 1
Structure and computed powder diffraction line list of NaHfSnWO6 (a DFT-relaxed cell (PBE+U, the Materials Project); Cu Kα X-rays).
Neutral-atom scattering factors, no anomalous dispersion.

Most intense lines, 2θ from 15° to 90°, sorted by position:
| Position (°2θ) | I (rel.) |
| --- | --- |
| 21.90 | 33 |
| 31.17 | 100 |
| 44.66 | 30 |
| 55.47 | 41 |
| 65.01 | 19 |
| 73.85 | 18 |

Structural model:
a = 5.7388 Å, b = 5.7388 Å, c = 5.7388 Å
α = 60.00°, β = 60.00°, γ = 60.00°
Positions (direct):
Na  0.0000  0.0000  0.0000
Hf  0.7500  0.7500  0.7500
Sn  0.5000  0.5000  0.5000
W  0.2500  0.2500  0.2500
O  0.0049  0.0049  0.4951
O  0.0049  0.4951  0.0049
O  0.0049  0.4951  0.4951
O  0.4951  0.0049  0.0049
O  0.4951  0.0049  0.4951
O  0.4951  0.4951  0.0049


Record 2
Structure and computed powder diffraction line list of SrNdHfVO6 (a DFT-relaxed cell (PBE+U, the Materials Project); Cu Kα X-rays).
Neutral-atom scattering factors, no anomalous dispersion.

Most intense lines, 2θ from 15° to 90°, sorted by position:
| Position (°2θ) | I (rel.) |
| --- | --- |
| 19.06 | 22 |
| 31.37 | 100 |
| 44.95 | 31 |
| 55.84 | 40 |
| 65.46 | 19 |
| 74.39 | 17 |

Structural model:
a = 5.7033 Å, b = 5.7033 Å, c = 5.7033 Å
α = 60.00°, β = 60.00°, γ = 60.00°
Positions (direct):
Sr  0.0000  0.0000  0.0000
Nd  0.5000  0.5000  0.5000
Hf  0.7500  0.7500  0.7500
V  0.2500  0.2500  0.2500
O  0.0034  0.0034  0.4966
O  0.0034  0.4966  0.0034
O  0.0034  0.4966  0.4966
O  0.4966  0.0034  0.0034
O  0.4966  0.0034  0.4966
O  0.4966  0.4966  0.0034


Record 3
Structure and computed powder diffraction line list of HfNiO3 (a DFT-relaxed cell (PBE+U, the Materials Project); Cu Kα X-rays).
Neutral-atom scattering factors, no anomalous dispersion.

Most intense lines, 2θ from 15° to 90°, sorted by position:
| Position (°2θ) | I (rel.) |
| --- | --- |
| 21.84 | 39 |
| 24.45 | 32 |
| 32.80 | 100 |
| 33.23 | 96 |
| 36.09 | 31 |
| 44.53 | 28 |

Structural model:
a = 4.9778 Å, b = 5.3384 Å, c = 9.4669 Å
α = 90.00°, β = 120.73°, γ = 90.00°
Positions (direct):
Hf  0.2069  0.0757  0.2484
Hf  0.2069  0.4243  0.7484
Hf  0.7931  0.5757  0.2516
Hf  0.7931  0.9243  0.7516
Ni  0.0000  0.0000  0.5000
Ni  0.0000  0.5000  0.0000
Ni  0.5000  0.0000  0.0000
Ni  0.5000  0.5000  0.5000
O  0.1009  0.1933  0.9124
O  0.1009  0.3067  0.4124
O  0.2181  0.6903  0.9108
O  0.2181  0.8097  0.4108
O  0.4243  0.0802  0.7556
O  0.4243  0.4198  0.2556
O  0.5757  0.5802  0.7444
O  0.5757  0.9198  0.2444
O  0.7819  0.1903  0.5892
O  0.7819  0.3097  0.0892
O  0.8991  0.6933  0.5876
O  0.8991  0.8067  0.0876


Record 4
Structure and computed powder diffraction line list of SrHfVSnO6 (a DFT-relaxed cell (PBE+U, the Materials Project); Cu Kα X-rays).
Neutral-atom scattering factors, no anomalous dispersion.

Most intense lines, 2θ from 15° to 90°, sorted by position:
| Position (°2θ) | I (rel.) |
| --- | --- |
| 19.12 | 21 |
| 31.48 | 100 |
| 45.12 | 32 |
| 56.05 | 40 |
| 65.72 | 19 |
| 74.69 | 18 |

Structural model:
a = 5.6836 Å, b = 5.6836 Å, c = 5.6836 Å
α = 60.00°, β = 60.00°, γ = 60.00°
Positions (direct):
Sr  0.0000  0.0000  0.0000
Hf  0.7500  0.7500  0.7500
V  0.2500  0.2500  0.2500
Sn  0.5000  0.5000  0.5000
O  0.0073  0.0073  0.4927
O  0.0073  0.4927  0.0073
O  0.0073  0.4927  0.4927
O  0.4927  0.0073  0.0073
O  0.4927  0.0073  0.4927
O  0.4927  0.4927  0.0073